Starting from the GGA-PBE geometry in the Materials Project, the XRD peak list of K3Cu5O4 was simulated for Cu Kα X-rays.
Intensities are scaled so that the largest is 100.

Main lines, in order of falling intensity (10° ≤ 2θ ≤ 80°):
hkl 1 2 2, 2θ = 30.7°, d = 2.911 Å, rel. 100; hkl 1 2 -3, 2θ = 31.2°, d = 2.863 Å, rel. 76; hkl 1 1 1, 2θ = 17.9°, d = 4.947 Å, rel. 63; hkl 0 0 4, 2θ = 26.5°, d = 3.365 Å, rel. 62; hkl 1 1 -1, 2θ = 15.7°, d = 5.642 Å, rel. 55; hkl 2 4 -1, 2θ = 53.6°, d = 1.710 Å, rel. 52

Atomic structure:
Cell lengths 9.547, 7.324, 14.071 Å; angles 90.00, 106.91, 90.00 degrees
Element x y z (fractional)
K 0.099 0.162 0.092
K 0.099 0.338 0.592
K 0.268 0.726 0.082
K 0.268 0.774 0.582
K 0.327 0.082 0.896
K 0.327 0.418 0.396
K 0.673 0.582 0.604
K 0.673 0.918 0.104
K 0.732 0.226 0.418
K 0.732 0.274 0.918
K 0.901 0.662 0.408
K 0.901 0.838 0.908
Cu 0.063 0.087 0.384
Cu 0.063 0.413 0.884
Cu 0.063 0.666 0.744
Cu 0.063 0.834 0.244
Cu 0.305 0.550 0.872
Cu 0.305 0.950 0.372
Cu 0.435 0.052 0.234
Cu 0.435 0.448 0.734
Cu 0.449 0.194 0.615
Cu 0.449 0.306 0.115
Cu 0.551 0.694 0.885
Cu 0.551 0.806 0.385
Cu 0.565 0.552 0.266
Cu 0.565 0.948 0.766
Cu 0.695 0.050 0.628
Cu 0.695 0.450 0.128
Cu 0.937 0.166 0.756
Cu 0.937 0.334 0.256
Cu 0.937 0.587 0.116
Cu 0.937 0.913 0.616
O 0.003 0.179 0.892
O 0.003 0.321 0.392
O 0.131 0.652 0.883
O 0.131 0.848 0.383
O 0.387 0.067 0.098
O 0.387 0.433 0.598
O 0.484 0.046 0.371
O 0.484 0.454 0.871
O 0.516 0.546 0.129
O 0.516 0.954 0.629
O 0.613 0.567 0.402
O 0.613 0.933 0.902
O 0.869 0.152 0.617
O 0.869 0.348 0.117
O 0.997 0.679 0.608
O 0.997 0.821 0.108